Structure and computed X-ray diffraction stick pattern of Mn2AsHO6 (a DFT-relaxed cell (PBE+U, Alexandria); a wavelength of 1.5418 Å).

Peak list (10 most intense, 5° ≤ 2θ ≤ 70°, by angle)
(0 0 1), 17.84 deg, I 100
(0 1 1), 21.44 deg, I 44
(1 1 0), 21.67 deg, I 33
(0 1 0), 23.14 deg, I 35
(1 1 1), 23.98 deg, I 33
(1 0 1), 30.91 deg, I 35
(0 1 2), 32.23 deg, I 33
(-1 1 1), 35.54 deg, I 36
(1 2 1), 36.06 deg, I 35
(-1 1 3), 53.02 deg, I 43

Structure:
a b c (Å): 4.940 4.987 5.658
angles (deg): 64.76 89.01 61.28
Space group P1 (No. 1)
Symmetry-distinct sites (fractional):
1 Mn 0.000 0.000 0.000
2 Mn 0.454 0.069 0.446
3 As 0.792 0.407 0.412
4 H 0.361 0.566 0.669
5 O 0.055 0.236 0.219
6 O 0.158 0.244 0.649
7 O 0.428 0.505 0.225
8 O 0.554 0.581 0.665
9 O 0.700 0.854 0.234
10 O 0.813 0.997 0.650